(1)
For MgMnIn4Se8, a crystal structure in Alexandria, relaxed with GGA-PBE gives the theoretical powder diffraction line list in this record (Cu Kα, 1.54184 Å).
No peak broadening, texture or thermal motion is included.

The 10 most intense peaks (2θ = 10–90°), sorted by position:
Position (°2θ)  I/Imax
13.40  194
13.55  161
25.83  606
31.35  1000
41.09  229
44.74  607
45.12  611
55.65  169
65.42  180
82.75  172

Structural model:
```
data_MgMnIn4Se8
_cell_length_a 8.0383
_cell_length_b 8.0383
_cell_length_c 8.0383
_cell_angle_alpha 60.52
_cell_angle_beta 60.52
_cell_angle_gamma 60.52
_space_group_name_H-M_alt 'P 1'
_space_group_IT_number 1
loop_
_space_group_symop_operation_xyz
'x,y,z'
loop_
_atom_site_label
_atom_site_type_symbol
_atom_site_fract_x
_atom_site_fract_y
_atom_site_fract_z
Mg1 Mg 0.0000 0.0000 0.0000
Mn1 Mn 0.6239 0.6239 0.6239
In1 In 0.1091 0.6227 0.6227
In2 In 0.2389 0.2389 0.2389
In3 In 0.6227 0.1091 0.6227
In4 In 0.6227 0.6227 0.1091
Se1 Se 0.3764 0.3764 0.3764
Se2 Se 0.3861 0.3861 0.8363
Se3 Se 0.3861 0.8363 0.3861
Se4 Se 0.3932 0.8578 0.8578
Se5 Se 0.8363 0.3861 0.3861
Se6 Se 0.8578 0.3932 0.8578
Se7 Se 0.8578 0.8578 0.3932
Se8 Se 0.8652 0.8652 0.8652
```

(2)
For Mg3In2N4, a crystal structure in Alexandria, relaxed with GGA-PBE gives the theoretical powder diffraction line list in this record (Cu Kα, 1.54184 Å).
No peak broadening, texture or thermal motion is included.

The 10 most intense peaks (2θ = 10–90°), sorted by position:
Position (°2θ)  I/Imax
13.65  412
18.60  423
20.59  781
25.62  637
29.86  559
32.26  1000
33.35  527
34.37  771
35.46  378
40.82  483

Structural model:
```
data_Mg3In2N4
_cell_length_a 6.5067
_cell_length_b 6.5067
_cell_length_c 5.6332
_cell_angle_alpha 91.79
_cell_angle_beta 91.79
_cell_angle_gamma 85.62
_space_group_name_H-M_alt 'P 1'
_space_group_IT_number 1
loop_
_space_group_symop_operation_xyz
'x,y,z'
loop_
_atom_site_label
_atom_site_type_symbol
_atom_site_fract_x
_atom_site_fract_y
_atom_site_fract_z
Mg1 Mg 0.2073 0.7927 0.7500
Mg2 Mg 0.2785 0.4841 0.3994
Mg3 Mg 0.4841 0.2785 0.8994
Mg4 Mg 0.5159 0.7215 0.1006
Mg5 Mg 0.7215 0.5159 0.6006
Mg6 Mg 0.7927 0.2073 0.2500
In1 In 0.0524 0.2935 0.8540
In2 In 0.2935 0.0524 0.3540
In3 In 0.7065 0.9476 0.6460
In4 In 0.9476 0.7065 0.1460
N1 N 0.0480 0.2736 0.4682
N2 N 0.2502 0.5510 0.0127
N3 N 0.2736 0.0480 0.9682
N4 N 0.4490 0.7498 0.4873
N5 N 0.5510 0.2502 0.5127
N6 N 0.7264 0.9520 0.0318
N7 N 0.7498 0.4490 0.9873
N8 N 0.9520 0.7264 0.5318
```

(3)
For MgIn2ReN4, a crystal structure in Alexandria, relaxed with GGA-PBE gives the theoretical powder diffraction line list in this record (Cu Kα, 1.54184 Å).
No peak broadening, texture or thermal motion is included.

The 10 most intense peaks (2θ = 10–90°), sorted by position:
Position (°2θ)  I/Imax
20.32  362
20.53  409
30.86  512
31.19  1000
31.43  492
31.64  383
38.22  447
50.05  338
50.81  289
64.97  233

Structural model:
```
data_MgIn2ReN4
_cell_length_a 6.6681
_cell_length_b 6.6542
_cell_length_c 6.5075
_cell_angle_alpha 90.00
_cell_angle_beta 119.66
_cell_angle_gamma 90.00
_space_group_name_H-M_alt 'P 1'
_space_group_IT_number 1
loop_
_space_group_symop_operation_xyz
'x,y,z'
loop_
_atom_site_label
_atom_site_type_symbol
_atom_site_fract_x
_atom_site_fract_y
_atom_site_fract_z
Mg1 Mg 0.0000 0.0000 0.0000
Mg2 Mg 0.5000 0.5000 0.0000
In1 In 0.9999 0.2455 0.5002
In2 In 0.9999 0.7545 0.5002
In3 In 0.4999 0.2545 0.5002
In4 In 0.4999 0.7455 0.5002
Re1 Re 0.4965 0.0000 0.9996
Re2 Re 0.9965 0.5000 0.9996
N1 N 0.3147 0.5000 0.1909
N2 N 0.3751 0.0000 0.2049
N3 N 0.3991 0.2235 0.8011
N4 N 0.3991 0.7765 0.8011
N5 N 0.8147 0.0000 0.1909
N6 N 0.8751 0.5000 0.2049
N7 N 0.8991 0.2765 0.8011
N8 N 0.8991 0.7235 0.8011
```

(4)
For NaMg6In6, a crystal structure in Alexandria, relaxed with GGA-PBE gives the theoretical powder diffraction line list in this record (Cu Kα, 1.54184 Å).
No peak broadening, texture or thermal motion is included.

The 10 most intense peaks (2θ = 10–90°), sorted by position:
Position (°2θ)  I/Imax
24.45  375
29.52  1000
31.53  237
34.53  641
38.69  403
39.54  398
52.37  194
59.23  234
61.27  202
63.08  257

Structural model:
```
data_NaMg6In6
_cell_length_a 6.0516
_cell_length_b 6.0516
_cell_length_c 10.1255
_cell_angle_alpha 90.00
_cell_angle_beta 90.00
_cell_angle_gamma 120.00
_space_group_name_H-M_alt 'P 1'
_space_group_IT_number 1
loop_
_space_group_symop_operation_xyz
'x,y,z'
loop_
_atom_site_label
_atom_site_type_symbol
_atom_site_fract_x
_atom_site_fract_y
_atom_site_fract_z
Na1 Na 0.0000 0.0000 0.0000
Mg1 Mg 0.0000 0.5000 0.2442
Mg2 Mg 0.0000 0.5000 0.7558
Mg3 Mg 0.5000 0.0000 0.2442
Mg4 Mg 0.5000 0.0000 0.7558
Mg5 Mg 0.5000 0.5000 0.2442
Mg6 Mg 0.5000 0.5000 0.7558
In1 In 0.0000 0.0000 0.3496
In2 In 0.0000 0.0000 0.6504
In3 In 0.3333 0.6667 0.0000
In4 In 0.3333 0.6667 0.5000
In5 In 0.6667 0.3333 0.0000
In6 In 0.6667 0.3333 0.5000
```

(5)
For NaMg6In10, a crystal structure in Alexandria, relaxed with GGA-PBE gives the theoretical powder diffraction line list in this record (Cu Kα, 1.54184 Å).
No peak broadening, texture or thermal motion is included.

The 10 most intense peaks (2θ = 10–90°), sorted by position:
Position (°2θ)  I/Imax
22.58  239
24.50  516
30.02  185
31.71  114
33.56  248
34.15  937
35.67  1000
50.21  289
62.13  228
65.05  162

Structural model:
```
data_NaMg6In10
_cell_length_a 9.0953
_cell_length_b 9.0953
_cell_length_c 6.0439
_cell_angle_alpha 90.00
_cell_angle_beta 90.00
_cell_angle_gamma 120.00
_space_group_name_H-M_alt 'P 1'
_space_group_IT_number 1
loop_
_space_group_symop_operation_xyz
'x,y,z'
loop_
_atom_site_label
_atom_site_type_symbol
_atom_site_fract_x
_atom_site_fract_y
_atom_site_fract_z
Na1 Na 0.0000 0.0000 0.0000
Mg1 Mg 0.0000 0.3624 0.8299
Mg2 Mg 0.0000 0.6376 0.1701
Mg3 Mg 0.3624 0.0000 0.8299
Mg4 Mg 0.3624 0.3624 0.1701
Mg5 Mg 0.6376 0.0000 0.1701
Mg6 Mg 0.6376 0.6376 0.8299
In1 In 0.0000 0.2891 0.3317
In2 In 0.0000 0.7109 0.6683
In3 In 0.2891 0.0000 0.3317
In4 In 0.2891 0.2891 0.6683
In5 In 0.3333 0.6667 0.0000
In6 In 0.3333 0.6667 0.5000
In7 In 0.6667 0.3333 0.0000
In8 In 0.6667 0.3333 0.5000
In9 In 0.7109 0.0000 0.6683
In10 In 0.7109 0.7109 0.3317
```

(6)
For Na2Mg3In2, a crystal structure in Alexandria, relaxed with GGA-PBE gives the theoretical powder diffraction line list in this record (Cu Kα, 1.54184 Å).
No peak broadening, texture or thermal motion is included.

The 10 most intense peaks (2θ = 10–90°), sorted by position:
Position (°2θ)  I/Imax
17.13  1000
19.57  648
21.72  779
25.37  530
34.21  860
35.61  449
35.77  639
37.91  462
41.82  334
50.48  432

Structural model:
```
data_Na2Mg3In2
_cell_length_a 11.2374
_cell_length_b 5.0427
_cell_length_c 7.2819
_cell_angle_alpha 90.00
_cell_angle_beta 112.41
_cell_angle_gamma 90.00
_space_group_name_H-M_alt 'P 1'
_space_group_IT_number 1
loop_
_space_group_symop_operation_xyz
'x,y,z'
loop_
_atom_site_label
_atom_site_type_symbol
_atom_site_fract_x
_atom_site_fract_y
_atom_site_fract_z
Na1 Na 0.1323 0.0000 0.4128
Na2 Na 0.3677 0.5000 0.5872
Na3 Na 0.6323 0.5000 0.4128
Na4 Na 0.8677 0.0000 0.5872
Mg1 Mg 0.0000 0.5000 0.0000
Mg2 Mg 0.1553 0.0000 0.9381
Mg3 Mg 0.3447 0.5000 0.0619
Mg4 Mg 0.5000 0.0000 0.0000
Mg5 Mg 0.6553 0.5000 0.9381
Mg6 Mg 0.8447 0.0000 0.0619
In1 In 0.1096 0.5000 0.6919
In2 In 0.3904 0.0000 0.3081
In3 In 0.6096 0.0000 0.6919
In4 In 0.8904 0.5000 0.3081
```

(7)
For NaMg2In8, a crystal structure in Alexandria, relaxed with GGA-PBE gives the theoretical powder diffraction line list in this record (Cu Kα, 1.54184 Å).
No peak broadening, texture or thermal motion is included.

The 10 most intense peaks (2θ = 10–90°), sorted by position:
Position (°2θ)  I/Imax
21.29  830
31.24  395
31.53  286
32.40  1000
33.37  471
35.57  715
35.92  343
36.51  780
38.45  391
41.31  366

Structural model:
```
data_NaMg2In8
_cell_length_a 9.2990
_cell_length_b 9.2990
_cell_length_c 5.6772
_cell_angle_alpha 107.30
_cell_angle_beta 107.30
_cell_angle_gamma 126.08
_space_group_name_H-M_alt 'P 1'
_space_group_IT_number 1
loop_
_space_group_symop_operation_xyz
'x,y,z'
loop_
_atom_site_label
_atom_site_type_symbol
_atom_site_fract_x
_atom_site_fract_y
_atom_site_fract_z
Na1 Na 0.0000 0.0000 0.0000
Mg1 Mg 0.3253 0.6747 0.5000
Mg2 Mg 0.6747 0.3253 0.5000
In1 In 0.0970 0.3782 0.7599
In2 In 0.1997 0.8003 0.0000
In3 In 0.3782 0.0970 0.7599
In4 In 0.4485 0.4485 0.6970
In5 In 0.5515 0.5515 0.3030
In6 In 0.6218 0.9030 0.2401
In7 In 0.8003 0.1997 0.0000
In8 In 0.9030 0.6218 0.2401
```

(8)
For Na4MgIn4, a crystal structure in Alexandria, relaxed with GGA-PBE gives the theoretical powder diffraction line list in this record (Cu Kα, 1.54184 Å).
No peak broadening, texture or thermal motion is included.

The 10 most intense peaks (2θ = 10–90°), sorted by position:
Position (°2θ)  I/Imax
12.16  833
24.30  426
29.82  441
32.31  289
32.43  1000
34.01  743
34.24  187
42.95  228
49.33  205
64.42  242

Structural model:
```
data_Na4MgIn4
_cell_length_a 8.4228
_cell_length_b 8.4228
_cell_length_c 8.4228
_cell_angle_alpha 138.32
_cell_angle_beta 138.32
_cell_angle_gamma 60.42
_space_group_name_H-M_alt 'P 1'
_space_group_IT_number 1
loop_
_space_group_symop_operation_xyz
'x,y,z'
loop_
_atom_site_label
_atom_site_type_symbol
_atom_site_fract_x
_atom_site_fract_y
_atom_site_fract_z
Na1 Na 0.2205 0.2205 0.6299
Na2 Na 0.4094 0.7795 0.0000
Na3 Na 0.5906 0.5906 0.3701
Na4 Na 0.7795 0.4094 0.0000
Mg1 Mg 0.0000 0.0000 0.0000
In1 In 0.0048 0.6195 0.0000
In2 In 0.3805 0.3805 0.3853
In3 In 0.6195 0.0048 0.0000
In4 In 0.9952 0.9952 0.6147
```

(9)
For Na16MgIn12, a crystal structure in Alexandria, relaxed with GGA-PBE gives the theoretical powder diffraction line list in this record (Cu Kα, 1.54184 Å).
No peak broadening, texture or thermal motion is included.

The 10 most intense peaks (2θ = 10–90°), sorted by position:
Position (°2θ)  I/Imax
18.34  1000
18.48  719
18.63  691
18.72  497
32.13  716
32.40  909
32.55  609
35.46  490
35.62  761
36.33  598

Structural model:
```
data_Na16MgIn12
_cell_length_a 10.2591
_cell_length_b 10.2591
_cell_length_c 10.0412
_cell_angle_alpha 109.21
_cell_angle_beta 109.21
_cell_angle_gamma 110.36
_space_group_name_H-M_alt 'P 1'
_space_group_IT_number 1
loop_
_space_group_symop_operation_xyz
'x,y,z'
loop_
_atom_site_label
_atom_site_type_symbol
_atom_site_fract_x
_atom_site_fract_y
_atom_site_fract_z
Na1 Na 0.0000 0.0000 0.0000
Na2 Na 0.0019 0.3422 0.9966
Na3 Na 0.0023 0.5893 0.3118
Na4 Na 0.0061 0.0061 0.3576
Na5 Na 0.2821 0.6895 0.6927
Na6 Na 0.3125 0.5942 0.0047
Na7 Na 0.3141 0.9992 0.5914
Na8 Na 0.3422 0.0019 0.9966
Na9 Na 0.4114 0.4114 0.7277
Na10 Na 0.4114 0.7245 0.4088
Na11 Na 0.5893 0.0023 0.3118
Na12 Na 0.5942 0.3125 0.0047
Na13 Na 0.6504 0.6504 0.6534
Na14 Na 0.6895 0.2821 0.6927
Na15 Na 0.7245 0.4114 0.4088
Na16 Na 0.9992 0.3141 0.5914
Mg1 Mg 0.6905 0.6905 0.2872
In1 In 0.1800 0.1800 0.8086
In2 In 0.1876 0.8227 0.1865
In3 In 0.1917 0.3743 0.3713
In4 In 0.3743 0.1917 0.3713
In5 In 0.3811 0.3811 0.1828
In6 In 0.6310 0.9969 0.8158
In7 In 0.6338 0.8142 0.0141
In8 In 0.8098 0.9936 0.6218
In9 In 0.8142 0.6338 0.0141
In10 In 0.8227 0.1876 0.1865
In11 In 0.9936 0.8098 0.6218
In12 In 0.9969 0.6310 0.8158
```

(10)
For NaMg7In4, a crystal structure in Alexandria, relaxed with GGA-PBE gives the theoretical powder diffraction line list in this record (Cu Kα, 1.54184 Å).
No peak broadening, texture or thermal motion is included.

The 10 most intense peaks (2θ = 10–90°), sorted by position:
Position (°2θ)  I/Imax
18.67  980
20.18  551
23.39  879
26.89  587
28.69  629
33.09  542
33.55  843
37.22  1000
38.33  819
40.06  593

Structural model:
```
data_NaMg7In4
_cell_length_a 7.1059
_cell_length_b 7.1059
_cell_length_c 10.8430
_cell_angle_alpha 122.79
_cell_angle_beta 122.79
_cell_angle_gamma 44.16
_space_group_name_H-M_alt 'P 1'
_space_group_IT_number 1
loop_
_space_group_symop_operation_xyz
'x,y,z'
loop_
_atom_site_label
_atom_site_type_symbol
_atom_site_fract_x
_atom_site_fract_y
_atom_site_fract_z
Na1 Na 0.0000 0.0000 0.0000
Mg1 Mg 0.0730 0.0730 0.4255
Mg2 Mg 0.2734 0.2734 0.3526
Mg3 Mg 0.3309 0.3309 0.1131
Mg4 Mg 0.5000 0.5000 0.0000
Mg5 Mg 0.6691 0.6691 0.8869
Mg6 Mg 0.7266 0.7266 0.6474
Mg7 Mg 0.9270 0.9270 0.5745
In1 In 0.2081 0.2081 0.7788
In2 In 0.3867 0.3867 0.6785
In3 In 0.6133 0.6133 0.3215
In4 In 0.7919 0.7919 0.2212
```

(11)
For NaMgIn, a crystal structure in Alexandria, relaxed with GGA-PBE gives the theoretical powder diffraction line list in this record (Cu Kα, 1.54184 Å).
No peak broadening, texture or thermal motion is included.

The 10 most intense peaks (2θ = 10–90°), sorted by position:
Position (°2θ)  I/Imax
14.28  556
21.48  169
26.22  886
34.01  605
34.92  1000
37.05  219
40.70  207
48.86  210
56.28  204
61.45  362

Structural model:
```
data_NaMgIn
_cell_length_a 3.7283
_cell_length_b 3.7283
_cell_length_c 24.8180
_cell_angle_alpha 90.00
_cell_angle_beta 90.00
_cell_angle_gamma 90.00
_space_group_name_H-M_alt 'P 1'
_space_group_IT_number 1
loop_
_space_group_symop_operation_xyz
'x,y,z'
loop_
_atom_site_label
_atom_site_type_symbol
_atom_site_fract_x
_atom_site_fract_y
_atom_site_fract_z
Na1 Na 0.0000 0.0000 0.0723
Na2 Na 0.0000 0.0000 0.9277
Na3 Na 0.5000 0.5000 0.4277
Na4 Na 0.5000 0.5000 0.5723
Mg1 Mg 0.0000 0.0000 0.2157
Mg2 Mg 0.0000 0.0000 0.7843
Mg3 Mg 0.5000 0.5000 0.2843
Mg4 Mg 0.5000 0.5000 0.7157
In1 In 0.0000 0.0000 0.3479
In2 In 0.0000 0.0000 0.6521
In3 In 0.5000 0.5000 0.1521
In4 In 0.5000 0.5000 0.8479
```

(12)
For Na3MgIn8, a crystal structure in Alexandria, relaxed with GGA-PBE gives the theoretical powder diffraction line list in this record (Cu Kα, 1.54184 Å).
No peak broadening, texture or thermal motion is included.

The 10 most intense peaks (2θ = 10–90°), sorted by position:
Position (°2θ)  I/Imax
17.46  1000
17.72  322
33.74  362
33.88  716
34.16  349
35.34  964
35.88  308
41.19  500
59.30  250
71.29  272

Structural model:
```
data_Na3MgIn8
_cell_length_a 10.6386
_cell_length_b 10.6386
_cell_length_c 10.6386
_cell_angle_alpha 34.07
_cell_angle_beta 34.07
_cell_angle_gamma 34.07
_space_group_name_H-M_alt 'P 1'
_space_group_IT_number 1
loop_
_space_group_symop_operation_xyz
'x,y,z'
loop_
_atom_site_label
_atom_site_type_symbol
_atom_site_fract_x
_atom_site_fract_y
_atom_site_fract_z
Na1 Na 0.0000 0.0000 0.0000
Na2 Na 0.1236 0.1236 0.1236
Na3 Na 0.5013 0.5013 0.5013
Mg1 Mg 0.6278 0.6278 0.6278
In1 In 0.0610 0.5616 0.5616
In2 In 0.0631 0.0631 0.5635
In3 In 0.0631 0.5635 0.0631
In4 In 0.3128 0.3128 0.3128
In5 In 0.5616 0.0610 0.5616
In6 In 0.5616 0.5616 0.0610
In7 In 0.5635 0.0631 0.0631
In8 In 0.8116 0.8116 0.8116
```

(13)
For NaMg4In8, a crystal structure in Alexandria, relaxed with GGA-PBE gives the theoretical powder diffraction line list in this record (Cu Kα, 1.54184 Å).
No peak broadening, texture or thermal motion is included.

The 10 most intense peaks (2θ = 10–90°), sorted by position:
Position (°2θ)  I/Imax
21.80  13
25.22  729
35.97  1000
44.43  209
51.78  170
58.44  269
64.65  338
76.26  103
81.83  127
87.31  147

Structural model:
```
data_NaMg4In8
_cell_length_a 7.0628
_cell_length_b 7.0628
_cell_length_c 7.0628
_cell_angle_alpha 90.00
_cell_angle_beta 90.00
_cell_angle_gamma 90.00
_space_group_name_H-M_alt 'P 1'
_space_group_IT_number 1
loop_
_space_group_symop_operation_xyz
'x,y,z'
loop_
_atom_site_label
_atom_site_type_symbol
_atom_site_fract_x
_atom_site_fract_y
_atom_site_fract_z
Na1 Na 0.0000 0.0000 0.0000
Mg1 Mg 0.0000 0.5000 0.5000
Mg2 Mg 0.5000 0.0000 0.5000
Mg3 Mg 0.5000 0.5000 0.0000
Mg4 Mg 0.5000 0.5000 0.5000
In1 In 0.2459 0.2459 0.2459
In2 In 0.2459 0.2459 0.7541
In3 In 0.2459 0.7541 0.2459
In4 In 0.2459 0.7541 0.7541
In5 In 0.7541 0.2459 0.2459
In6 In 0.7541 0.2459 0.7541
In7 In 0.7541 0.7541 0.2459
In8 In 0.7541 0.7541 0.7541
```